(1)
Diffraction record for TaB6N6. The X-ray powder pattern is calculated, not measured: it uses a crystal structure in Alexandria, relaxed with PBE and copper Kα.
Peak positions follow from Bragg's law for the DFT cell and can differ from measured ones.

Peak list (12 most intense, 2θ = 15–90°, in order of rising 2θ)
d 4.614, intensity 100; d 3.263, intensity 45; d 2.664, intensity 32; d 2.307, intensity 25; d 2.063, intensity 49; d 1.884, intensity 53; d 1.538, intensity 24; d 1.459, intensity 11; d 1.391, intensity 14; d 1.280, intensity 10; d 1.233, intensity 25; d 1.119, intensity 14

Structural model:
```
TaB6N6
1.0
4.6139 0.0000 0.0000
0.0000 4.6139 0.0000
0.0000 0.0000 4.6139
Ta B N
1 6 6
direct
0.0000 0.0000 0.0000
0.0000 0.2368 0.5000
0.0000 0.7632 0.5000
0.2368 0.5000 0.0000
0.5000 0.0000 0.2368
0.5000 0.0000 0.7632
0.7632 0.5000 0.0000
0.0000 0.5000 0.2519
0.0000 0.5000 0.7481
0.2519 0.0000 0.5000
0.5000 0.2519 0.0000
0.5000 0.7481 0.0000
0.7481 0.0000 0.5000
```

***

(2)
Diffraction record for TbB3N3. The X-ray powder pattern is calculated, not measured: it uses a crystal structure in Alexandria, relaxed with PBE and copper Kα.
Peak positions follow from Bragg's law for the DFT cell and can differ from measured ones.

Peak list (9 most intense, 2θ = 15–90°, in order of rising 2θ)
d 3.399, intensity 100; d 2.404, intensity 35; d 1.963, intensity 76; d 1.700, intensity 15; d 1.520, intensity 21; d 1.388, intensity 3; d 1.285, intensity 37; d 1.202, intensity 5; d 1.133, intensity 13

Structural model:
```
TbB3N3
1.0
4.8074 0.0000 0.0000
0.0000 4.8074 0.0000
0.0000 0.0000 4.8074
Tb B N
2 6 6
direct
0.0000 0.0000 0.0000
0.5000 0.5000 0.5000
0.0000 0.2500 0.5000
0.0000 0.7500 0.5000
0.2500 0.5000 0.0000
0.5000 0.0000 0.2500
0.5000 0.0000 0.7500
0.7500 0.5000 0.0000
0.0000 0.5000 0.2500
0.0000 0.5000 0.7500
0.2500 0.0000 0.5000
0.5000 0.2500 0.0000
0.5000 0.7500 0.0000
0.7500 0.0000 0.5000
```